The following is a calculated powder X-ray diffraction pattern of Tl2GeAu6. It was derived from a PBE-relaxed structure, using Cu Kα.

Top 10 peaks for 10° ≤ 2θ ≤ 90°, sorted by position:
2θ (°), I/Imax, hkl
33.1, 100, 2 2 0
33.7, 50, 0 0 2
34.0, 49, 4 0 -2
38.8, 40, 4 0 0
38.9, 79, 2 2 -2
55.3, 12, 0 4 0
55.9, 24, 2 2 2
56.4, 24, 6 2 -2
57.2, 13, 4 0 -4
67.5, 17, 2 2 -4

Cell and atoms:
```
data_Tl2GeAu6
_chemical_formula_sum 'Tl4 Ge2 Au12'
_cell_length_a 11.243
_cell_length_b 6.650
_cell_length_c 6.444
_cell_angle_alpha 90.00
_cell_angle_beta 124.39
_cell_angle_gamma 90.00
_space_group_name_H-M_alt 'C 1 2/m 1'
_space_group_IT_number 12
_space_group_name_Hall '-C 2y'
loop_
_atom_site_label
_atom_site_type_symbol
_atom_site_fract_x
_atom_site_fract_y
_atom_site_fract_z
Tl1 Tl 0.243 0.000 0.246
Ge1 Ge 0.000 0.000 0.500
Au1 Au 0.001 0.282 0.773
Au2 Au 0.223 0.500 0.221
```

***

The following is a calculated powder X-ray diffraction pattern of TlGe2Au2. It was derived from a PBE-relaxed structure, using Cu Kα.

Top 10 peaks for 10° ≤ 2θ ≤ 90°, sorted by position:
2θ (°), I/Imax, hkl
27.3, 100, 2 2 0
28.1, 15, 1 3 1
32.7, 42, 0 0 4
32.9, 16, 0 4 0
36.6, 20, 1 3 3
43.1, 53, 2 2 4
43.2, 17, 2 4 2
44.3, 20, 4 0 0
56.1, 18, 4 0 4
65.9, 12, 2 6 4

Cell and atoms:
```
data_TlGe2Au2
_chemical_formula_sum 'Tl8 Ge16 Au16'
_cell_length_a 8.178
_cell_length_b 10.874
_cell_length_c 10.950
_cell_angle_alpha 90.00
_cell_angle_beta 90.00
_cell_angle_gamma 90.00
_space_group_name_H-M_alt 'F d d d'
_space_group_IT_number 70
loop_
_space_group_symop_operation_xyz
'x,y,z'
'-x,-y,-z'
'-x+1/4,-y+1/4,z'
'x+1/4,y+1/4,-z'
'x,-y+1/4,-z+1/4'
'-x,y+1/4,z+1/4'
'-x+1/4,y,-z+1/4'
'x+1/4,-y,z+1/4'
'x,y+1/2,z+1/2'
'-x,-y+1/2,-z+1/2'
'-x+1/4,-y+3/4,z+1/2'
'x+1/4,y+3/4,-z+1/2'
'x,-y+3/4,-z+3/4'
'-x,y+3/4,z+3/4'
'-x+1/4,y+1/2,-z+3/4'
'x+1/4,-y+1/2,z+3/4'
'x+1/2,y,z+1/2'
'-x+1/2,-y,-z+1/2'
'-x+3/4,-y+1/4,z+1/2'
'x+3/4,y+1/4,-z+1/2'
'x+1/2,-y+1/4,-z+3/4'
'-x+1/2,y+1/4,z+3/4'
'-x+3/4,y,-z+3/4'
'x+3/4,-y,z+3/4'
'x+1/2,y+1/2,z'
'-x+1/2,-y+1/2,-z'
'-x+3/4,-y+3/4,z'
'x+3/4,y+3/4,-z'
'x+1/2,-y+3/4,-z+1/4'
'-x+1/2,y+3/4,z+1/4'
'-x+3/4,y+1/2,-z+1/4'
'x+3/4,-y+1/2,z+1/4'
loop_
_atom_site_label
_atom_site_type_symbol
_atom_site_fract_x
_atom_site_fract_y
_atom_site_fract_z
Tl1 Tl 0.125 0.125 0.125
Ge1 Ge 0.125 0.010 0.625
Au1 Au 0.125 0.125 0.391
```

***

The following is a calculated powder X-ray diffraction pattern of Tm4Ge3Au. It was derived from a PBE-relaxed structure, using Cu Kα.

Top 10 peaks for 10° ≤ 2θ ≤ 90°, sorted by position:
2θ (°), I/Imax, hkl
32.0, 100, 1 1 1
33.0, 26, 0 1 3
33.3, 32, 0 0 4
40.0, 59, 1 1 3
40.3, 16, 1 0 4
43.6, 23, 0 2 0
44.9, 22, 2 0 0
56.0, 15, 0 2 4
57.0, 14, 2 0 4
64.4, 15, 2 2 0

Cell and atoms:
```
data_Tm4Ge3Au
_chemical_formula_sum 'Tm4 Ge3 Au1'
_cell_length_a 4.038
_cell_length_b 4.148
_cell_length_c 10.760
_cell_angle_alpha 90.00
_cell_angle_beta 90.00
_cell_angle_gamma 90.00
_space_group_name_H-M_alt 'P m m 2'
_space_group_IT_number 25
_space_group_name_Hall 'P 2 -2'
loop_
_atom_site_label
_atom_site_type_symbol
_atom_site_fract_x
_atom_site_fract_y
_atom_site_fract_z
Tm1 Tm 0.000 0.000 0.000
Tm2 Tm 0.000 0.500 0.496
Tm3 Tm 0.500 0.000 0.721
Tm4 Tm 0.500 0.500 0.223
Ge1 Ge 0.000 0.000 0.270
Ge2 Ge 0.500 0.000 0.445
Ge3 Ge 0.500 0.500 0.949
Au1 Au 0.000 0.500 0.774
```

***

The following is a calculated powder X-ray diffraction pattern of UGe3Au3. It was derived from a PBE-relaxed structure, using Cu Kα.

Top 10 peaks for 10° ≤ 2θ ≤ 90°, sorted by position:
2θ (°), I/Imax, hkl
25.3, 42, 2 0 0
28.4, 30, 2 1 0
31.2, 100, 2 1 1
44.6, 18, 2 2 2
48.4, 60, 3 2 1
52.0, 26, 4 0 0
58.7, 17, 4 2 0
73.8, 18, 5 2 1
76.6, 17, 4 4 0
85.0, 19, 6 1 1

Cell and atoms:
```
data_UGe3Au3
_chemical_formula_sum 'U2 Ge6 Au6'
_cell_length_a 7.033
_cell_length_b 7.033
_cell_length_c 7.033
_cell_angle_alpha 90.00
_cell_angle_beta 90.00
_cell_angle_gamma 90.00
_space_group_name_H-M_alt 'P m -3 n'
_space_group_IT_number 223
_space_group_name_Hall '-P 4n 2 3'
loop_
_atom_site_label
_atom_site_type_symbol
_atom_site_fract_x
_atom_site_fract_y
_atom_site_fract_z
U1 U 0.000 0.000 0.000
Ge1 Ge 0.000 0.250 0.500
Au1 Au 0.000 0.500 0.250
```

***

The following is a calculated powder X-ray diffraction pattern of Zn3GeAu3. It was derived from a PBE-relaxed structure, using Cu Kα.

Top 10 peaks for 10° ≤ 2θ ≤ 90°, sorted by position:
2θ (°), I/Imax, hkl
17.8, 59, 1 1 0
25.3, 42, 2 0 0
28.3, 67, 2 1 0
31.1, 100, 2 1 1
44.6, 57, 2 2 2
46.5, 18, 3 2 0
48.3, 59, 3 2 1
51.9, 39, 4 0 0
60.2, 18, 4 2 1
76.5, 25, 4 4 0

Cell and atoms:
```
data_Zn3GeAu3
_chemical_formula_sum 'Zn6 Ge2 Au6'
_cell_length_a 7.045
_cell_length_b 7.045
_cell_length_c 7.045
_cell_angle_alpha 90.00
_cell_angle_beta 90.00
_cell_angle_gamma 90.00
_space_group_name_H-M_alt 'P m -3 n'
_space_group_IT_number 223
_space_group_name_Hall '-P 4n 2 3'
loop_
_atom_site_label
_atom_site_type_symbol
_atom_site_fract_x
_atom_site_fract_y
_atom_site_fract_z
Zn1 Zn 0.000 0.250 0.500
Ge1 Ge 0.000 0.000 0.000
Au1 Au 0.000 0.500 0.250
```

***

The following is a calculated powder X-ray diffraction pattern of H4Au. It was derived from a PBE-relaxed structure, using Cu Kα.

Top 9 peaks for 10° ≤ 2θ ≤ 90°, sorted by position:
2θ (°), I/Imax, hkl
25.1, 100, 1 0 0
35.8, 82, 1 1 0
44.2, 29, 1 1 1
51.5, 15, 2 0 0
58.2, 41, 2 1 0
64.4, 30, 2 1 1
75.9, 10, 2 2 0
81.4, 20, 3 0 0
86.9, 14, 3 1 0

Cell and atoms:
```
data_H4Au
_chemical_formula_sum 'H4 Au1'
_cell_length_a 3.546
_cell_length_b 3.546
_cell_length_c 3.546
_cell_angle_alpha 90.00
_cell_angle_beta 90.00
_cell_angle_gamma 90.00
_space_group_name_H-M_alt 'P m -3 m'
_space_group_IT_number 221
_space_group_name_Hall '-P 4 2 3'
loop_
_atom_site_label
_atom_site_type_symbol
_atom_site_fract_x
_atom_site_fract_y
_atom_site_fract_z
H1 H 0.000 0.000 0.000
H2 H 0.000 0.500 0.500
Au1 Au 0.500 0.500 0.500
```

***

The following is a calculated powder X-ray diffraction pattern of HAu3. It was derived from a PBE-relaxed structure, using Cu Kα.

Top 10 peaks for 10° ≤ 2θ ≤ 90°, sorted by position:
2θ (°), I/Imax, hkl
33.5, 75, 0 2 0
33.8, 53, 1 0 1
38.0, 100, 0 1 3
42.9, 91, 1 1 2
48.4, 40, 1 2 1
63.0, 23, 0 3 3
66.5, 36, 2 0 0
68.0, 16, 1 0 5
77.9, 22, 1 2 5
79.3, 25, 2 1 3

Cell and atoms:
```
data_HAu3
_chemical_formula_sum 'H2 Au6'
_cell_length_a 2.810
_cell_length_b 5.344
_cell_length_c 7.916
_cell_angle_alpha 90.00
_cell_angle_beta 90.00
_cell_angle_gamma 90.00
_space_group_name_H-M_alt 'I m m m'
_space_group_IT_number 71
_space_group_name_Hall '-I 2 2'
loop_
_atom_site_label
_atom_site_type_symbol
_atom_site_fract_x
_atom_site_fract_y
_atom_site_fract_z
H1 H 0.000 0.000 0.000
Au1 Au 0.000 0.000 0.500
Au2 Au 0.000 0.500 0.318
```

***

The following is a calculated powder X-ray diffraction pattern of Hf3H2Au. It was derived from a PBE-relaxed structure, using Cu Kα.

Top 10 peaks for 10° ≤ 2θ ≤ 90°, sorted by position:
2θ (°), I/Imax, hkl
34.8, 49, 2 0 -2
35.1, 51, 2 0 2
35.2, 100, 0 1 2
38.1, 85, 2 1 0
45.6, 19, 0 0 4
55.5, 15, 0 2 0
60.7, 16, 2 1 -4
61.1, 17, 2 1 4
66.9, 15, 4 1 2
67.3, 16, 2 2 2

Cell and atoms:
```
data_Hf3H2Au
_chemical_formula_sum 'Hf6 H4 Au2'
_cell_length_a 6.723
_cell_length_b 3.313
_cell_length_c 7.965
_cell_angle_alpha 90.00
_cell_angle_beta 90.48
_cell_angle_gamma 90.00
_space_group_name_H-M_alt 'P 1 2/m 1'
_space_group_IT_number 10
_space_group_name_Hall '-P 2y'
loop_
_atom_site_label
_atom_site_type_symbol
_atom_site_fract_x
_atom_site_fract_y
_atom_site_fract_z
Hf1 Hf 0.003 0.000 0.266
Hf2 Hf 0.237 0.500 0.012
Hf3 Hf 0.492 0.000 0.291
H1 H 0.261 0.000 0.856
H2 H 0.495 0.500 0.855
Au1 Au 0.233 0.500 0.497
```